# 1
This entry pairs a crystal structure of Ba2CuC12O18 with its calculated powder X-ray diffraction pattern. Radiation: Cu Ka. Structure: a PBE-relaxed structure.

Largest 10 diffraction maxima, most intense first, 10 to 90 degrees two-theta:
two_theta, I_rel, hkl
15.12, 100.0, 1 -1 1
19.82, 87.9, 0 0 2
25.33, 82.3, 2 -1 1
21.81, 80.8, 1 -2 1
22.35, 66.6, 1 1 0
35.58, 64.5, 2 -3 2
23.22, 61.7, 1 1 -2
24.76, 55.9, -2 1 1
20.83, 47.5, 1 0 -2
30.07, 39.8, 0 2 -3

Cell and atoms:
```
data_Ba2CuC12O18
_cell_length_a 7.7721
_cell_length_b 8.2436
_cell_length_c 9.9696
_cell_angle_alpha 111.97
_cell_angle_beta 93.18
_cell_angle_gamma 114.27
_space_group_name_H-M_alt 'P -1'
_space_group_IT_number 2
loop_
_space_group_symop_operation_xyz
'x,y,z'
'-x,-y,-z'
loop_
_atom_site_label
_atom_site_fract_x
_atom_site_fract_y
_atom_site_fract_z
_atom_site_occupancy
Ba1 0.2002 0.3296 0.0531 1
Cu1 0.0000 0.5000 0.5000 1
C1 0.1822 0.9329 0.4983 1
C2 0.2191 0.0844 0.6533 1
C3 0.3390 0.0900 0.4671 1
C4 0.3607 0.9807 0.0133 1
C5 0.3759 0.2387 0.6252 1
C6 0.4680 0.8636 0.0027 1
O1 0.0057 0.3480 0.3063 1
O2 0.0359 0.5675 0.0709 1
O3 0.0740 0.7552 0.4243 1
O4 0.1492 0.0832 0.7615 1
O5 0.1763 0.6736 0.6870 1
O6 0.1973 0.9668 0.0287 1
O7 0.4083 0.0933 0.3610 1
O8 0.4401 0.7046 0.0049 1
O9 0.4922 0.4150 0.7007 1
```



# 2
This entry pairs a crystal structure of Sr7Nb6O21 with its calculated powder X-ray diffraction pattern. Radiation: Cu Ka. Structure: a PBE-relaxed structure.

Largest 10 diffraction maxima, most intense first, 10 to 90 degrees two-theta:
two_theta, I_rel, hkl
29.64, 100.0, 1 0 13
31.11, 86.3, 1 1 0
43.51, 57.8, 0 2 13
54.44, 37.1, 2 1 13
51.67, 20.0, 0 1 26
55.35, 19.2, 3 0 0
64.86, 17.3, 2 2 0
70.57, 15.3, 1 2 26
72.91, 14.9, 4 -3 13
61.55, 13.9, 2 0 26

Cell and atoms:
```
data_Sr7Nb6O21
_cell_length_a 5.7499
_cell_length_b 5.7499
_cell_length_c 49.2087
_cell_angle_alpha 90.00
_cell_angle_beta 90.00
_cell_angle_gamma 120.00
_space_group_name_H-M_alt 'R -3'
_space_group_IT_number 148
_space_group_name_Hall '-R 3'
loop_
_atom_site_label
_atom_site_fract_x
_atom_site_fract_y
_atom_site_fract_z
_atom_site_occupancy
Sr1 0.0000 0.0000 0.0000 1
Sr2 0.0000 0.0000 0.1527 1
Sr3 0.0000 0.0000 0.2323 1
Sr4 0.0000 0.0000 0.3845 1
Nb1 0.0000 0.0000 0.0727 1
Nb2 0.0000 0.0000 0.3095 1
Nb3 0.0000 0.0000 0.4571 1
O1 0.0001 0.4365 0.8594 1
O2 0.0000 0.5000 0.0000 1
O3 0.0054 0.4776 0.6196 1
O4 0.0055 0.5459 0.2397 1
```



# 3
This entry pairs a crystal structure of Li2GeAu with its calculated powder X-ray diffraction pattern. Radiation: Cu Ka. Structure: a PBE-relaxed structure.

Largest 10 diffraction maxima, most intense first, 10 to 90 degrees two-theta:
two_theta, I_rel, hkl
24.66, 100.0, 1 1 1
40.81, 77.9, 2 2 0
48.26, 50.8, 3 1 1
74.30, 27.0, 4 2 2
65.00, 21.0, 3 3 1
28.55, 18.5, 2 0 0
79.66, 16.2, 5 1 1
59.09, 13.2, 4 0 0
88.42, 9.0, 4 4 0
66.91, 7.2, 4 2 0

Cell and atoms:
```
data_Li2GeAu
_cell_length_a 6.2540
_cell_length_b 6.2540
_cell_length_c 6.2540
_cell_angle_alpha 90.00
_cell_angle_beta 90.00
_cell_angle_gamma 90.00
_space_group_name_H-M_alt 'F -4 3 m'
_space_group_IT_number 216
_space_group_name_Hall 'F -4 2 3'
loop_
_atom_site_label
_atom_site_fract_x
_atom_site_fract_y
_atom_site_fract_z
_atom_site_occupancy
Li1 0.0000 0.0000 0.0000 1
Li2 0.2500 0.2500 0.2500 1
Ge1 0.2500 0.2500 0.7500 1
Au1 0.0000 0.0000 0.5000 1
```



# 4
This entry pairs a crystal structure of NaHoGeO4 with its calculated powder X-ray diffraction pattern. Radiation: Cu Ka. Structure: a PBE-relaxed structure.

Largest 10 diffraction maxima, most intense first, 10 to 90 degrees two-theta:
two_theta, I_rel, hkl
31.94, 100.0, 3 1 1
22.96, 82.2, 1 1 1
27.51, 43.2, 0 2 0
15.44, 39.3, 2 0 0
33.29, 28.3, 1 2 1
46.92, 27.4, 2 2 2
51.50, 26.7, 3 3 1
28.73, 26.2, 3 0 1
18.37, 25.1, 1 0 1
44.02, 19.9, 0 2 2

Cell and atoms:
```
data_NaHoGeO4
_cell_length_a 11.4800
_cell_length_b 6.4844
_cell_length_c 5.3225
_cell_angle_alpha 90.00
_cell_angle_beta 90.00
_cell_angle_gamma 90.00
_space_group_name_H-M_alt 'P n m a'
_space_group_IT_number 62
loop_
_space_group_symop_operation_xyz
'x,y,z'
'-x,-y,-z'
'-x+1/2,-y,z+1/2'
'x+1/2,y,-z+1/2'
'x+1/2,-y+1/2,-z+1/2'
'-x+1/2,y+1/2,z+1/2'
'-x,y+1/2,-z'
'x,-y+1/2,z'
loop_
_atom_site_label
_atom_site_fract_x
_atom_site_fract_y
_atom_site_fract_z
_atom_site_occupancy
Na1 0.0000 0.0000 0.0000 1
Ho1 0.2226 0.2500 0.4946 1
Ge1 0.0979 0.7500 0.5529 1
O1 0.0455 0.2500 0.3284 1
O2 0.1116 0.7500 0.2261 1
O3 0.1750 0.5419 0.7073 1
```